Record 1
RuSe2O6: computed powder XRD pattern (Cu Kα X-rays), based on a DFT-relaxed cell (GGA-PBE, Alexandria).
Lines closer than 0.1° are merged.

Most intense lines, 10° ≤ 2θ ≤ 80°, low angle first:
hkl  2θ/deg  I_rel
0 0 3  13.44  60
1 0 1  21.40  76
1 0 4  27.70  95
0 1 5  30.91  100
1 1 0  36.64  55
1 1 9  56.24  41

```
data_RuSe2O6
_cell_length_a 4.9046
_cell_length_b 4.9046
_cell_length_c 19.7570
_cell_angle_alpha 90.00
_cell_angle_beta 90.00
_cell_angle_gamma 120.00
_symmetry_space_group_name_H-M 'R 3'
_symmetry_Int_Tables_number 146
_symmetry_space_group_name_Hall 'R 3'
loop_
_atom_site_label
_atom_site_fract_x
_atom_site_fract_y
_atom_site_fract_z
Ru1 0.0000 0.0000 0.0000
Se1 0.0000 0.0000 0.2378
Se2 0.0000 0.0000 0.4291
O1 0.0014 0.3461 0.7280
O2 0.0011 0.6557 0.6055
```

=====

Record 2
Si3RuO: computed powder XRD pattern (Cu Kα X-rays), based on a DFT-relaxed cell (GGA-PBE, Alexandria).
Lines closer than 0.1° are merged.

Most intense lines, 10° ≤ 2θ ≤ 80°, low angle first:
hkl  2θ/deg  I_rel
1 0 0  19.71  100
1 1 0  28.02  52
2 0 0  40.04  49
2 1 0  45.01  45
2 2 0  57.91  32
3 0 0  61.79  22

```
data_Si3RuO
_cell_length_a 4.5041
_cell_length_b 4.5041
_cell_length_c 4.5041
_cell_angle_alpha 90.00
_cell_angle_beta 90.00
_cell_angle_gamma 90.00
_symmetry_space_group_name_H-M 'P m -3 m'
_symmetry_Int_Tables_number 221
_symmetry_space_group_name_Hall '-P 4 2 3'
loop_
_atom_site_label
_atom_site_fract_x
_atom_site_fract_y
_atom_site_fract_z
Si1 0.0000 0.0000 0.5000
Ru1 0.0000 0.0000 0.0000
O1 0.5000 0.5000 0.5000
```

=====

Record 3
Sm2RuO6: computed powder XRD pattern (Cu Kα X-rays), based on a DFT-relaxed cell (GGA-PBE, Alexandria).
Lines closer than 0.1° are merged.

Most intense lines, 10° ≤ 2θ ≤ 80°, low angle first:
hkl  2θ/deg  I_rel
0 1 1  18.80  59
1 1 0  24.18  54
1 1 1  31.34  100
0 2 1  31.67  62
1 1 -3  33.98  89
0 0 4  48.93  66

```
data_Sm2RuO6
_cell_length_a 5.4426
_cell_length_b 6.1075
_cell_length_c 8.7776
_cell_angle_alpha 90.00
_cell_angle_beta 122.05
_cell_angle_gamma 90.00
_symmetry_space_group_name_H-M 'P 1 21/c 1'
_symmetry_Int_Tables_number 14
_symmetry_space_group_name_Hall '-P 2ybc'
loop_
_atom_site_label
_atom_site_fract_x
_atom_site_fract_y
_atom_site_fract_z
Sm1 0.2089 0.0970 0.2472
Ru1 0.5000 0.0000 0.0000
O1 0.1444 0.1558 0.9458
O2 0.2937 0.7239 0.9294
O3 0.4009 0.0514 0.7587
```